No. 1
Structure and computed X-ray powder pattern of Li12VFe3P4C4O28 (DFT lattice parameters and positions (GGA+U); λ = 1.5418 Å (Cu Kα)).
Peak positions follow from Bragg's law for the DFT cell and can differ from measured ones.

Largest 6 diffraction maxima, most intense first, 10 to 90 degrees two-theta:
| Position (°2θ) | Rel. int. |
| --- | --- |
| 27.3 | 100.0 |
| 10.5 | 79.5 |
| 21.4 | 47.3 |
| 19.8 | 36.2 |
| 26.3 | 33.5 |
| 36.5 | 26.9 |

```
Li12VFe3P4C4O28
1.0
8.495 0.000 0.000
0.000 6.533 0.000
-0.909 0.000 10.017
Li V Fe P C O
12 1 3 4 4 28
Direct
0.000 0.000 0.000
0.002 0.000 0.500
0.182 0.224 0.257
0.182 0.225 0.756
0.182 0.775 0.756
0.182 0.776 0.257
0.630 0.271 0.505
0.630 0.729 0.505
0.631 0.272 0.006
0.631 0.728 0.006
0.811 0.500 0.763
0.814 0.500 0.263
0.237 0.500 0.485
0.240 0.500 0.987
0.572 0.000 0.275
0.572 0.000 0.775
0.317 0.000 0.520
0.318 0.000 0.021
0.494 0.500 0.740
0.495 0.500 0.242
0.872 0.000 0.232
0.872 0.000 0.732
0.940 0.500 0.031
0.942 0.500 0.532
0.018 0.000 0.202
0.018 0.000 0.703
0.054 0.500 0.127
0.056 0.500 0.628
0.214 0.183 0.467
0.214 0.817 0.467
0.216 0.187 0.968
0.216 0.813 0.968
0.328 0.500 0.791
0.329 0.500 0.292
0.335 0.000 0.177
0.336 0.000 0.677
0.476 0.500 0.086
0.477 0.500 0.584
0.485 0.000 0.471
0.485 0.000 0.972
0.596 0.313 0.793
0.596 0.687 0.793
0.597 0.313 0.295
0.597 0.687 0.295
0.758 0.000 0.136
0.758 0.000 0.636
0.794 0.500 0.060
0.796 0.500 0.559
0.836 0.000 0.354
0.836 0.000 0.854
0.976 0.500 0.909
0.981 0.500 0.409
```

=====

No. 2
Structure and computed X-ray powder pattern of Li2FeCSO7 (DFT lattice parameters and positions (GGA+U); λ = 1.5418 Å (Cu Kα)).
Peak positions follow from Bragg's law for the DFT cell and can differ from measured ones.

Largest 6 diffraction maxima, most intense first, 10 to 90 degrees two-theta:
| Position (°2θ) | Rel. int. |
| --- | --- |
| 27.7 | 100.0 |
| 24.8 | 70.4 |
| 21.6 | 57.4 |
| 19.3 | 47.1 |
| 16.9 | 46.6 |
| 36.4 | 31.0 |

```
Li2FeCSO7
1.0
8.144 0.000 0.000
-2.050 7.883 0.000
-2.320 -2.995 9.106
Li Fe C S O
8 4 4 4 28
Direct
0.048 0.065 0.326
0.185 0.702 0.673
0.314 0.798 0.326
0.451 0.435 0.673
0.549 0.565 0.327
0.686 0.202 0.674
0.815 0.298 0.327
0.952 0.935 0.674
0.064 0.314 0.145
0.436 0.187 0.854
0.564 0.813 0.146
0.936 0.686 0.855
0.224 0.474 0.426
0.276 0.026 0.573
0.724 0.974 0.427
0.776 0.526 0.574
0.207 0.456 0.909
0.294 0.043 0.091
0.706 0.957 0.909
0.793 0.544 0.091
0.067 0.316 0.931
0.082 0.332 0.379
0.120 0.555 0.820
0.172 0.922 0.946
0.195 0.945 0.436
0.196 0.131 0.180
0.221 0.971 0.675
0.279 0.529 0.324
0.305 0.370 0.820
0.305 0.555 0.563
0.328 0.577 0.054
0.380 0.945 0.180
0.418 0.168 0.620
0.435 0.183 0.068
0.565 0.817 0.932
0.582 0.832 0.380
0.620 0.055 0.820
0.672 0.423 0.946
0.695 0.445 0.437
0.695 0.630 0.180
0.721 0.471 0.676
0.779 0.029 0.325
0.804 0.869 0.820
0.805 0.055 0.564
0.828 0.078 0.054
0.880 0.445 0.180
0.918 0.668 0.621
0.933 0.684 0.069
```

=====

No. 3
Structure and computed X-ray powder pattern of Li4Fe2C4SO16 (DFT lattice parameters and positions (GGA+U); λ = 1.5418 Å (Cu Kα)).
Peak positions follow from Bragg's law for the DFT cell and can differ from measured ones.

Largest 6 diffraction maxima, most intense first, 10 to 90 degrees two-theta:
| Position (°2θ) | Rel. int. |
| --- | --- |
| 11.4 | 100.0 |
| 21.0 | 65.8 |
| 22.4 | 58.6 |
| 22.1 | 52.6 |
| 32.9 | 31.4 |
| 18.3 | 26.7 |

```
Li4Fe2C4SO16
1.0
0.000 6.647 7.105
6.524 0.000 7.105
6.524 6.647 0.000
Li Fe C S O
8 4 8 2 32
Direct
0.077 0.673 0.077
0.079 0.671 0.671
0.327 0.923 0.327
0.329 0.921 0.921
0.671 0.079 0.079
0.673 0.077 0.673
0.921 0.329 0.329
0.923 0.327 0.923
0.000 0.500 0.500
0.500 0.000 0.500
0.500 0.500 0.000
0.500 0.500 0.500
0.269 0.653 0.292
0.285 0.292 0.653
0.292 0.285 0.269
0.347 0.731 0.715
0.653 0.269 0.285
0.708 0.715 0.731
0.715 0.708 0.347
0.731 0.347 0.708
0.125 0.125 0.125
0.875 0.875 0.875
0.047 0.317 0.069
0.067 0.069 0.317
0.069 0.067 0.047
0.133 0.644 0.419
0.141 0.312 0.658
0.142 0.412 0.287
0.287 0.659 0.142
0.304 0.419 0.644
0.312 0.141 0.389
0.317 0.047 0.067
0.341 0.713 0.588
0.342 0.611 0.859
0.356 0.867 0.696
0.389 0.658 0.312
0.412 0.142 0.659
0.419 0.304 0.133
0.581 0.696 0.867
0.588 0.858 0.341
0.611 0.342 0.688
0.644 0.133 0.304
0.658 0.389 0.141
0.659 0.287 0.412
0.683 0.953 0.933
0.688 0.859 0.611
0.696 0.581 0.356
0.713 0.341 0.858
0.858 0.588 0.713
0.859 0.688 0.342
0.867 0.356 0.581
0.931 0.933 0.953
0.933 0.931 0.683
0.953 0.683 0.931
```

=====

No. 4
Structure and computed X-ray powder pattern of Li6Fe2C4SO16 (DFT lattice parameters and positions (GGA+U); λ = 1.5418 Å (Cu Kα)).
Peak positions follow from Bragg's law for the DFT cell and can differ from measured ones.

Largest 6 diffraction maxima, most intense first, 10 to 90 degrees two-theta:
| Position (°2θ) | Rel. int. |
| --- | --- |
| 22.1 | 100.0 |
| 34.9 | 38.7 |
| 39.9 | 38.0 |
| 38.1 | 34.0 |
| 26.7 | 33.9 |
| 11.5 | 30.0 |

```
Li6Fe2C4SO16
1.0
0.000 6.676 6.676
6.676 0.000 6.676
6.676 6.676 0.000
Li Fe C S O
12 4 8 2 32
Direct
0.094 0.094 0.656
0.094 0.656 0.094
0.094 0.656 0.656
0.344 0.344 0.906
0.344 0.906 0.344
0.344 0.906 0.906
0.656 0.094 0.094
0.656 0.094 0.656
0.656 0.656 0.094
0.906 0.344 0.344
0.906 0.344 0.906
0.906 0.906 0.344
0.000 0.500 0.500
0.500 0.000 0.500
0.500 0.500 0.000
0.500 0.500 0.500
0.275 0.275 0.275
0.275 0.275 0.676
0.275 0.676 0.275
0.324 0.725 0.725
0.676 0.275 0.275
0.725 0.324 0.725
0.725 0.725 0.324
0.725 0.725 0.725
0.125 0.125 0.125
0.875 0.875 0.875
0.060 0.060 0.060
0.060 0.060 0.319
0.060 0.319 0.060
0.133 0.284 0.676
0.133 0.408 0.284
0.133 0.676 0.408
0.284 0.133 0.408
0.284 0.408 0.676
0.284 0.676 0.133
0.319 0.060 0.060
0.324 0.592 0.867
0.324 0.716 0.592
0.324 0.867 0.716
0.408 0.133 0.676
0.408 0.284 0.133
0.408 0.676 0.284
0.592 0.324 0.716
0.592 0.716 0.867
0.592 0.867 0.324
0.676 0.133 0.284
0.676 0.284 0.408
0.676 0.408 0.133
0.681 0.940 0.940
0.716 0.324 0.867
0.716 0.592 0.324
0.716 0.867 0.592
0.867 0.324 0.592
0.867 0.592 0.716
0.867 0.716 0.324
0.940 0.681 0.940
0.940 0.940 0.681
0.940 0.940 0.940
```